This entry pairs a crystal structure of CaAl2Si3H6O13 with its simulated X-ray powder pattern. Radiation: CuKα. Structure: DFT lattice parameters and positions (PBE).
No peak broadening, texture or thermal motion is included.

The 8 most intense peaks (10° ≤ 2θ ≤ 90°), by intensity:
2θ = 14.80°, I 100.0
2θ = 19.79°, I 89.2
2θ = 30.38°, I 86.4
2θ = 13.10°, I 63.4
2θ = 30.65°, I 45.6
2θ = 29.83°, I 36.3
2θ = 30.21°, I 33.4
2θ = 18.41°, I 26.8

Structure:
```
CaAl2Si3H6O13
1.0
3.3223 -9.6396 0.0000
3.3223 9.6396 0.0000
-3.1868 0.0000 9.4790
Ca Al Si H O
2 4 6 12 26
Cartesian
1.7289 7.6599 4.7395
3.3223 -7.6599 0.0000
3.3141 4.1013 4.3242
3.4071 0.6766 5.9529
5.0005 -0.6766 1.2134
1.7207 -4.1013 9.0637
0.8040 2.3936 5.2105
3.2260 6.3779 2.1594
2.3974 -2.3936 0.4710
4.9574 1.5339 3.4184
1.6326 -6.3779 6.8989
3.3640 -1.5339 8.1579
0.4251 3.2208 2.6916
1.1907 4.2121 1.7432
2.2288 1.6370 1.7199
-1.1683 -3.2208 7.4311
0.9866 3.1601 7.9813
2.3745 0.2220 1.0164
0.7811 -0.2220 5.7559
1.2816 3.9729 9.2820
-0.4027 -4.2121 6.4827
0.6354 -1.6370 6.4594
2.5800 -3.1601 3.2418
2.8750 -3.9729 4.5426
2.3733 7.7795 2.3324
-0.1854 1.9288 3.9828
2.5396 5.3771 1.0734
-0.1199 2.8820 6.4960
1.8142 1.0512 1.0617
-1.7788 -1.9288 8.7223
1.6686 3.6330 4.6685
2.2137 6.1139 6.4990
3.2466 5.7253 3.6444
0.2208 -1.0512 5.8012
1.4735 -2.8820 1.7566
1.7202 1.1209 5.6640
1.6275 3.2527 8.7282
3.3136 -1.1209 0.9245
4.0485 2.8594 3.3409
0.0752 -3.6330 9.4080
0.9462 -5.3771 5.8128
5.1541 0.9222 1.9201
3.2209 -3.2527 3.9887
4.3227 0.4048 4.4467
0.7799 -7.7795 7.0718
2.7293 -0.4048 9.1861
3.5607 -0.9222 6.6596
2.4551 -2.8594 8.0804
1.6532 -5.7253 8.3839
3.8071 -6.1139 1.7595
```